# 1
Computed powder XRD pattern
Compound: Sm3Y7Tm2
Radiation: copper Kα
Structure: a GGA-PBE-relaxed structure
Neutral-atom scattering factors, no anomalous dispersion.

Most intense lines, 10° ≤ 2θ ≤ 90°, low angle first:
| 2θ/deg | Rel. int. |
| --- | --- |
| 28.13 | 17 |
| 30.18 | 69 |
| 31.19 | 100 |
| 31.69 | 92 |
| 33.78 | 44 |
| 34.37 | 44 |
| 44.71 | 27 |
| 50.96 | 16 |
| 55.78 | 18 |
| 60.94 | 19 |

Cell and atoms:
Unit cell a=5.741 b=38.069 c=3.584 alpha=90.00 beta=90.00 gamma=90.00
Space group Cmmm (No. 65)
Unique sites:
Sm 0.000 0.000 0.000 (multiplicity 2)
Sm 0.000 0.316 0.500 (multiplicity 4)
Y 0.000 0.072 0.500 (multiplicity 4)
Y 0.000 0.231 0.000 (multiplicity 4)
Y 0.000 0.408 0.000 (multiplicity 4)
Y 0.000 0.500 0.500 (multiplicity 2)
Tm 0.000 0.147 0.000 (multiplicity 4)

# 2
Computed powder XRD pattern
Compound: Sm3Y5Tm4
Radiation: copper Kα
Structure: a GGA-PBE-relaxed structure
Neutral-atom scattering factors, no anomalous dispersion.

Most intense lines, 10° ≤ 2θ ≤ 90°, low angle first:
| 2θ/deg | Rel. int. |
| --- | --- |
| 30.79 | 100 |
| 35.70 | 51 |
| 51.36 | 24 |
| 51.44 | 12 |
| 61.08 | 28 |
| 61.17 | 14 |
| 64.17 | 9 |
| 83.75 | 6 |
| 83.84 | 6 |
| 86.55 | 7 |

Cell and atoms:
Unit cell a=6.159 b=7.117 c=8.708 alpha=90.04 beta=90.06 gamma=90.15
Space group P-1 (No. 2)
Unique sites:
Sm 0.000 0.000 0.000 (multiplicity 1)
Sm 0.165 0.748 0.666 (multiplicity 2)
Y 0.000 0.500 0.000 (multiplicity 1)
Y 0.333 0.000 0.334 (multiplicity 2)
Y 0.499 0.251 0.000 (multiplicity 2)
Tm 0.167 0.251 0.666 (multiplicity 2)
Tm 0.334 0.500 0.335 (multiplicity 2)